[1]
Computed PXRD pattern of Mg6TiSn for Cu Kα X-rays, from a GGA-PBE-relaxed structure.

Peak list (8 most intense, 2θ = 10–90°, by intensity)
2θ/deg	I (rel.)	index
37.23	1000	1 2 2
16.07	604	0 1 1
37.64	537	1 0 4
35.87	378	2 0 0
32.47	314	0 2 2
24.01	288	1 1 1
33.58	236	1 1 3
24.16	225	1 0 2

Structural model:
Lattice parameters (Å, degrees): 5.007 6.397 10.879 90.00 90.00 90.00
Fractional coordinates of all 16 atoms:
Mg1 0.000 0.000 0.000
Mg2 0.000 0.246 0.251
Mg3 0.000 0.254 0.751
Mg4 0.000 0.500 0.500
Mg5 0.000 0.746 0.751
Mg6 0.000 0.754 0.251
Mg7 0.500 0.000 0.832
Mg8 0.500 0.246 0.086
Mg9 0.500 0.254 0.586
Mg10 0.500 0.500 0.332
Mg11 0.500 0.746 0.586
Mg12 0.500 0.754 0.086
Ti1 0.500 0.000 0.336
Ti2 0.500 0.500 0.836
Sn1 0.000 0.000 0.493
Sn2 0.000 0.500 0.993

=====

[2]
Computed PXRD pattern of TmMgSn for Cu Kα X-rays, from a GGA-PBE-relaxed structure.

Peak list (8 most intense, 2θ = 10–90°, by intensity)
2θ/deg	I (rel.)	index
28.91	1000	1 1 0
36.95	739	1 1 4
41.34	553	2 0 0
31.09	407	1 1 2
22.52	378	0 0 4
11.20	373	0 0 2
35.06	341	1 0 5
45.26	341	1 1 6

Structural model:
Lattice parameters (Å, degrees): 4.368 4.368 15.793 90.00 90.00 90.00
Fractional coordinates of all 12 atoms:
Tm1 0.000 0.000 0.168
Tm2 0.000 0.000 0.832
Tm3 0.500 0.500 0.332
Tm4 0.500 0.500 0.668
Mg1 0.000 0.500 0.000
Mg2 0.000 0.500 0.500
Mg3 0.500 0.000 0.000
Mg4 0.500 0.000 0.500
Sn1 0.000 0.000 0.363
Sn2 0.000 0.000 0.637
Sn3 0.500 0.500 0.137
Sn4 0.500 0.500 0.863

=====

[3]
Computed PXRD pattern of Mg6VSn for Cu Kα X-rays, from a GGA-PBE-relaxed structure.

Peak list (8 most intense, 2θ = 10–90°, by intensity)
2θ/deg	I (rel.)	index
38.10	1000	1 2 2
37.02	559	1 0 4
35.28	400	2 0 0
16.04	373	0 0 2
33.60	329	0 2 2
17.43	305	1 0 0
23.77	292	1 0 2
49.51	238	2 2 2

Structural model:
Lattice parameters (Å, degrees): 5.088 6.090 11.052 90.00 90.00 90.00
Fractional coordinates of all 16 atoms:
Mg1 0.000 0.000 0.000
Mg2 0.000 0.000 0.492
Mg3 0.000 0.240 0.248
Mg4 0.000 0.260 0.748
Mg5 0.000 0.500 0.500
Mg6 0.000 0.500 0.992
Mg7 0.000 0.740 0.748
Mg8 0.000 0.760 0.248
Mg9 0.500 0.249 0.582
Mg10 0.500 0.251 0.082
Mg11 0.500 0.749 0.082
Mg12 0.500 0.751 0.582
V1 0.500 0.000 0.332
V2 0.500 0.500 0.832
Sn1 0.500 0.000 0.832
Sn2 0.500 0.500 0.332